Record 1
This entry pairs a crystal structure of NaMgH4SO6F with its simulated PXRD pattern. Radiation: Cu Kα, 1.54184 Å. Structure: the GGA-PBE geometry in the Materials Project.

Atomic structure:
```
data_NaMgH4SO6F
_chemical_formula_sum 'Na2 Mg2 H8 S2 O12 F2'
_space_group_name_H-M_alt 'P 1 21/m 1'
_space_group_IT_number 11
_cell_length_a 5.7527
_cell_length_b 7.2647
_cell_length_c 7.2725
_cell_angle_alpha 90.00
_cell_angle_beta 112.45
_cell_angle_gamma 90.00
loop_
_space_group_symop_operation_xyz
'x,y,z'
'-x,-y,-z'
'-x,y+1/2,-z'
'x,-y+1/2,z'
loop_
_atom_site_label
_atom_site_fract_x
_atom_site_fract_y
_atom_site_fract_z
Na1 0.1354 0.2500 0.1990
Mg1 0.5000 0.0000 0.0000
H1 0.0712 0.0683 0.6987
H2 0.2054 0.5954 0.6334
S1 0.3546 0.7500 0.3090
O1 0.1639 0.7500 0.4081
O2 0.1716 0.5454 0.7468
O3 0.3030 0.5828 0.1788
O4 0.3894 0.2500 0.5407
F1 0.3822 0.2500 0.0212
```

Main lines, by angle (15 to 90 degrees two-theta):
2θ (°)  I_rel
16.67  42
25.01  50
27.91  87
29.28  33
29.89  100
36.33  43

***

Record 2
This entry pairs a crystal structure of MgZr2H12O4F12 with its simulated PXRD pattern. Radiation: Cu Kα, 1.54184 Å. Structure: the GGA-PBE geometry in the Materials Project.

Atomic structure:
```
data_MgZr2H12O4F12
_chemical_formula_sum 'Mg2 Zr4 H24 O8 F24'
_space_group_name_H-M_alt 'C 1 2 1'
_space_group_IT_number 5
_cell_length_a 7.2310
_cell_length_b 13.3189
_cell_length_c 6.9174
_cell_angle_alpha 90.00
_cell_angle_beta 113.08
_cell_angle_gamma 90.00
loop_
_space_group_symop_operation_xyz
'x,y,z'
'-x,y,-z'
'x+1/2,y+1/2,z'
'-x+1/2,y+1/2,-z'
loop_
_atom_site_label
_atom_site_fract_x
_atom_site_fract_y
_atom_site_fract_z
Mg1 0.0000 0.0000 0.0000
Zr1 0.0000 0.4679 0.0000
Zr2 0.0000 0.5407 0.5000
H1 0.0829 0.2016 0.3273
H2 0.0904 0.8113 0.7946
H3 0.1152 0.7517 0.4062
H4 0.1235 0.2608 0.8610
H5 0.1301 0.8741 0.3289
H6 0.1349 0.1392 0.7878
O1 0.0614 0.8069 0.2905
O2 0.0719 0.2081 0.7423
F1 0.0166 0.5959 0.8062
F2 0.0843 0.4172 0.3312
F3 0.1786 0.0315 0.8606
F4 0.2029 0.6806 0.5701
F5 0.2030 0.9783 0.2736
F6 0.2050 0.3334 0.0358
```

Main lines, by angle (15 to 90 degrees two-theta):
2θ (°)  I_rel
19.29  38
24.10  25
26.76  100
30.03  26
33.24  37
48.68  25

***

Record 3
This entry pairs a crystal structure of MgZr2H12O4F12 with its simulated PXRD pattern. Radiation: Cu Kα, 1.54184 Å. Structure: the GGA-PBE geometry in the Materials Project.

Atomic structure:
```
data_MgZr2H12O4F12
_chemical_formula_sum 'Mg1 Zr2 H12 O4 F12'
_space_group_name_H-M_alt 'P 1'
_space_group_IT_number 1
_cell_length_a 6.8962
_cell_length_b 6.9488
_cell_length_c 7.5681
_cell_angle_alpha 105.73
_cell_angle_beta 115.94
_cell_angle_gamma 98.18
loop_
_space_group_symop_operation_xyz
'x,y,z'
loop_
_atom_site_label
_atom_site_fract_x
_atom_site_fract_y
_atom_site_fract_z
Mg1 0.0000 0.0000 0.0000
Zr1 0.2400 0.4914 0.8794
Zr2 0.3442 0.9797 0.7832
H1 0.0380 0.2721 0.4163
H2 0.0644 0.8000 0.2556
H3 0.0916 0.3874 0.2183
H4 0.4622 0.0937 0.4604
H5 0.4852 0.6136 0.3649
H6 0.5849 0.1932 0.3308
H7 0.6241 0.7673 0.6148
H8 0.6839 0.3193 0.5946
H9 0.7410 0.7389 0.1280
H10 0.7856 0.7197 0.5052
H11 0.8345 0.2463 0.1668
H12 0.9106 0.6310 0.0060
O1 0.0043 0.2587 0.2218
O2 0.5494 0.2230 0.4513
O3 0.6335 0.6572 0.5041
O4 0.9248 0.7672 0.1148
F1 0.0143 0.2611 0.5411
F2 0.1427 0.1666 0.8946
F3 0.2043 0.8385 0.9636
F4 0.2500 0.5422 0.1858
F5 0.3183 0.9351 0.4693
F6 0.3383 0.6451 0.7046
F7 0.4486 0.3067 0.8109
F8 0.5877 0.7157 0.1346
F9 0.6008 0.1728 0.1297
F10 0.6880 0.9652 0.8131
F11 0.8919 0.4558 0.8222
F12 0.9937 0.8056 0.5468
```

Main lines, by angle (15 to 90 degrees two-theta):
2θ (°)  I_rel
19.63  41
25.27  68
26.16  100
27.49  63
47.81  42
53.02  46

***

Record 4
This entry pairs a crystal structure of NaPH6NO4F with its simulated PXRD pattern. Radiation: Cu Kα, 1.54184 Å. Structure: the GGA-PBE geometry in the Materials Project.

Atomic structure:
```
data_NaPH6NO4F
_chemical_formula_sum 'Na2 P2 H12 N2 O8 F2'
_space_group_name_H-M_alt 'P 1 c 1'
_space_group_IT_number 7
_cell_length_a 5.0204
_cell_length_b 9.1212
_cell_length_c 7.8429
_cell_angle_alpha 90.00
_cell_angle_beta 129.36
_cell_angle_gamma 90.00
loop_
_space_group_symop_operation_xyz
'x,y,z'
'x,-y,z+1/2'
loop_
_atom_site_label
_atom_site_fract_x
_atom_site_fract_y
_atom_site_fract_z
Na1 0.0000 0.0420 0.0000
P1 0.6104 0.2214 0.4923
H1 0.0075 0.3690 0.8834
H2 0.2465 0.4756 0.4739
H3 0.2648 0.4155 0.1565
H4 0.4263 0.2093 0.8819
H5 0.6713 0.2016 0.1355
H6 0.8990 0.4889 0.4696
N1 0.1021 0.4554 0.9939
O1 0.5425 0.1316 0.3047
O2 0.5500 0.3865 0.4467
O3 0.6720 0.2200 0.0119
O4 0.9402 0.1824 0.7214
F1 0.3031 0.1723 0.4993
```

Main lines, by angle (15 to 90 degrees two-theta):
2θ (°)  I_rel
17.56  75
20.19  100
29.44  98
30.24  60
30.37  93
35.82  51